(1)
Theoretical X-ray powder pattern of Li2Y2CuSn2Pd for copper Kα, from a DFT-relaxed cell (PBE, OQMD).
Lines closer than 0.1° are merged.

Top 10 peaks for 10° ≤ 2θ ≤ 90°, sorted by position:
h k l  d/Å  intensity
1 0 1  3.869  21
1 1 0  3.350  19
2 0 0  2.369  100
2 1 1  2.020  11
2 0 2  1.934  6
2 2 0  1.675  17
3 0 1  1.537  4
3 1 0  1.498  7
3 1 2  1.368  35
4 0 0  1.185  11

Structure:
abc: 4.7388 4.7388 6.6992
angles: 90.00 90.00 90.00
Space group P-4m2 (No. 115)
One atom of each set of equivalent atoms:
Li  0.0000  0.0000  0.0000 (multiplicity 1)
Li  0.5000  0.5000  0.5000 (multiplicity 1)
Y  0.0000  0.5000  0.2464 (multiplicity 2)
Cu  0.5000  0.5000  0.0000 (multiplicity 1)
Sn  0.0000  0.5000  0.7541 (multiplicity 2)
Pd  0.0000  0.0000  0.5000 (multiplicity 1)

***

(2)
Theoretical X-ray powder pattern of Li4TlCuPd2 for copper Kα, from a DFT-relaxed cell (PBE, OQMD).
Lines closer than 0.1° are merged.

Top 10 peaks for 10° ≤ 2θ ≤ 90°, sorted by position:
h k l  d/Å  intensity
1 0 0  4.370  12
1 0 1  3.584  100
1 1 1  2.771  13
1 1 2  2.199  60
2 0 0  2.185  31
1 0 3  1.884  15
2 1 1  1.865  32
2 2 0  1.545  10
2 1 3  1.427  12
3 1 2  1.264  20

Structure:
abc: 4.3696 4.3696 6.2629
angles: 90.00 90.00 90.00
Space group P-4m2 (No. 115)
One atom of each set of equivalent atoms:
Li  0.0000  0.0000  0.0000 (multiplicity 1)
Li  0.0000  0.5000  0.2246 (multiplicity 2)
Li  0.5000  0.5000  0.5000 (multiplicity 1)
Tl  0.0000  0.0000  0.5000 (multiplicity 1)
Cu  0.5000  0.5000  0.0000 (multiplicity 1)
Pd  0.0000  0.5000  0.7745 (multiplicity 2)

***

(3)
Theoretical X-ray powder pattern of Li4ZnCuPd2 for copper Kα, from a DFT-relaxed cell (PBE, OQMD).
Lines closer than 0.1° are merged.

Top 10 peaks for 10° ≤ 2θ ≤ 90°, sorted by position:
h k l  d/Å  intensity
1 0 1  3.479  100
2 0 0  2.131  91
1 0 3  1.820  15
2 1 1  1.815  31
2 2 0  1.505  10
2 1 3  1.383  12
3 0 1  1.381  6
2 0 4  1.232  10
3 1 2  1.229  19
3 2 1  1.158  7

Structure:
abc: 4.2557 4.2557 6.0417
angles: 90.00 90.00 90.00
Space group P-4m2 (No. 115)
One atom of each set of equivalent atoms:
Li  0.0000  0.0000  0.0000 (multiplicity 1)
Li  0.0000  0.5000  0.2442 (multiplicity 2)
Li  0.5000  0.5000  0.5000 (multiplicity 1)
Zn  0.0000  0.0000  0.5000 (multiplicity 1)
Cu  0.5000  0.5000  0.0000 (multiplicity 1)
Pd  0.0000  0.5000  0.7498 (multiplicity 2)